Entry 1:
For Li4Mn3O7, DFT lattice parameters and positions (PBE+U) gives the computed powder XRD pattern in this record (copper Kα).

Atomic structure:
Unit cell a=5.0676 b=6.4881 c=7.9949 alpha=85.49 beta=81.71 gamma=83.14
Sites, in units of the cell vectors:
Li (0.0000, 0.0000, 0.0000)
Li (0.0777, 0.8558, 0.3428)
Li (0.2086, 0.5733, 0.0686)
Li (0.3381, 0.2792, 0.7967)
Li (0.5000, 0.0000, 0.5000)
Li (0.6619, 0.7208, 0.2033)
Li (0.7914, 0.4267, 0.9314)
Li (0.9223, 0.1442, 0.6572)
Mn (0.1315, 0.7182, 0.7271)
Mn (0.2921, 0.4280, 0.4253)
Mn (0.4363, 0.1421, 0.1319)
Mn (0.5637, 0.8579, 0.8681)
Mn (0.7079, 0.5720, 0.5747)
Mn (0.8685, 0.2818, 0.2729)
O (0.0184, 0.4455, 0.6780)
O (0.1361, 0.2760, 0.0376)
O (0.2002, 0.1524, 0.3630)
O (0.2592, 0.9811, 0.7487)
O (0.3491, 0.8708, 0.0889)
O (0.4042, 0.6966, 0.4625)
O (0.4458, 0.5954, 0.8260)
O (0.5542, 0.4046, 0.1740)
O (0.5958, 0.3034, 0.5375)
O (0.6509, 0.1292, 0.9111)
O (0.7408, 0.0189, 0.2513)
O (0.7998, 0.8476, 0.6370)
O (0.8639, 0.7240, 0.9624)
O (0.9816, 0.5545, 0.3220)

The 10 most intense peaks (10° ≤ 2θ ≤ 80°), in order of rising 2θ:
two_theta, I_rel
18.33, 100
34.06, 17
36.33, 24
40.89, 34
44.30, 28
44.41, 28
61.61, 8
61.86, 16
62.28, 8
64.08, 9



Entry 2:
For LiMn3O6, DFT lattice parameters and positions (PBE+U) gives the computed powder XRD pattern in this record (copper Kα).

Atomic structure:
Unit cell a=12.9135 b=12.9135 c=12.9135 alpha=154.15 beta=154.15 gamma=36.89
Sites, in units of the cell vectors:
Li (0.0431, 0.2931, 0.7500)
Li (0.2931, 0.0431, 0.2500)
Li (0.7069, 0.9569, 0.7500)
Li (0.9569, 0.7069, 0.2500)
Mn (0.0000, 0.5000, 0.5000)
Mn (0.1665, 0.1696, 0.5031)
Mn (0.1665, 0.6635, 0.9969)
Mn (0.1696, 0.1665, 0.0031)
Mn (0.3365, 0.8335, 0.5031)
Mn (0.5000, 0.0000, 0.0000)
Mn (0.5000, 0.5000, 0.0000)
Mn (0.5000, 0.5000, 0.5000)
Mn (0.6635, 0.1665, 0.4969)
Mn (0.8304, 0.8335, 0.9969)
Mn (0.8335, 0.3365, 0.0031)
Mn (0.8335, 0.8304, 0.4969)
O (0.0478, 0.5781, 0.4698)
O (0.0613, 0.0882, 0.9732)
O (0.0882, 0.0613, 0.4732)
O (0.0882, 0.6150, 0.0268)
O (0.2461, 0.2722, 0.5260)
O (0.2461, 0.7201, 0.9740)
O (0.2722, 0.2461, 0.0260)
O (0.2799, 0.7539, 0.5260)
O (0.3850, 0.9118, 0.4732)
O (0.3917, 0.4219, 0.9698)
O (0.4219, 0.3917, 0.4698)
O (0.4219, 0.9522, 0.0302)
O (0.5781, 0.0478, 0.9698)
O (0.5781, 0.6083, 0.5302)
O (0.6083, 0.5781, 0.0302)
O (0.6150, 0.0882, 0.5268)
O (0.7201, 0.2461, 0.4740)
O (0.7278, 0.7539, 0.9740)
O (0.7539, 0.2799, 0.0260)
O (0.7539, 0.7278, 0.4740)
O (0.9118, 0.3850, 0.9732)
O (0.9118, 0.9387, 0.5268)
O (0.9387, 0.9118, 0.0268)
O (0.9522, 0.4219, 0.5302)

The 10 most intense peaks (10° ≤ 2θ ≤ 80°), in order of rising 2θ:
two_theta, I_rel
18.81, 100
36.48, 41
38.16, 10
44.35, 52
48.58, 9
58.73, 18
64.53, 29
67.87, 13
76.46, 4
77.51, 6



Entry 3:
For Li3Mn7O16, DFT lattice parameters and positions (PBE+U) gives the computed powder XRD pattern in this record (copper Kα).

Atomic structure:
Unit cell a=10.0464 b=10.0464 c=10.0464 alpha=33.74 beta=33.74 gamma=33.74
Sites, in units of the cell vectors:
Li (0.0000, 0.0000, 0.0000)
Li (0.1218, 0.1218, 0.1218)
Li (0.6211, 0.6211, 0.6211)
Mn (0.0648, 0.0648, 0.5577)
Mn (0.0648, 0.5577, 0.0648)
Mn (0.0658, 0.5557, 0.5557)
Mn (0.5557, 0.0658, 0.5557)
Mn (0.5557, 0.5557, 0.0658)
Mn (0.5577, 0.0648, 0.0648)
Mn (0.8118, 0.8118, 0.8118)
O (0.1462, 0.7099, 0.7099)
O (0.1925, 0.1925, 0.1925)
O (0.2017, 0.2017, 0.6759)
O (0.2017, 0.6759, 0.2017)
O (0.4194, 0.4194, 0.9464)
O (0.4194, 0.9464, 0.4194)
O (0.4281, 0.4281, 0.4281)
O (0.4719, 0.9142, 0.9142)
O (0.6759, 0.2018, 0.2017)
O (0.6911, 0.6911, 0.6911)
O (0.7099, 0.1462, 0.7099)
O (0.7099, 0.7099, 0.1462)
O (0.9142, 0.4719, 0.9142)
O (0.9142, 0.9142, 0.4719)
O (0.9308, 0.9308, 0.9308)
O (0.9464, 0.4194, 0.4194)

The 10 most intense peaks (10° ≤ 2θ ≤ 80°), in order of rising 2θ:
two_theta, I_rel
18.70, 100
36.16, 35
36.30, 7
44.01, 53
58.16, 5
58.25, 6
58.36, 8
63.86, 16
64.14, 14
67.20, 10



Entry 4:
For Li13Mn8O24, DFT lattice parameters and positions (PBE+U) gives the computed powder XRD pattern in this record (copper Kα).

Atomic structure:
Unit cell a=4.9949 b=8.6063 c=9.7229 alpha=90.00 beta=99.41 gamma=90.00
Sites, in units of the cell vectors:
Li (0.0000, 0.0000, 0.0000)
Li (0.2467, 0.3471, 0.7494)
Li (0.2467, 0.6529, 0.7494)
Li (0.2506, 0.5000, 0.2501)
Li (0.2542, 0.1528, 0.2540)
Li (0.2542, 0.8472, 0.2540)
Li (0.2578, 0.0000, 0.7486)
Li (0.7422, 0.0000, 0.2514)
Li (0.7458, 0.1528, 0.7460)
Li (0.7458, 0.8472, 0.7460)
Li (0.7494, 0.5000, 0.7499)
Li (0.7533, 0.3471, 0.2506)
Li (0.7533, 0.6529, 0.2506)
Mn (0.0000, 0.1673, 0.5000)
Mn (0.0000, 0.3306, 0.0000)
Mn (0.0000, 0.6694, 0.0000)
Mn (0.0000, 0.8327, 0.5000)
Mn (0.5000, 0.1753, 0.0000)
Mn (0.5000, 0.3330, 0.5000)
Mn (0.5000, 0.6670, 0.5000)
Mn (0.5000, 0.8247, 0.0000)
O (0.0896, 0.0000, 0.3835)
O (0.0920, 0.5000, 0.8830)
O (0.1436, 0.1847, 0.8879)
O (0.1436, 0.8153, 0.8879)
O (0.1487, 0.3147, 0.3861)
O (0.1487, 0.6853, 0.3861)
O (0.3513, 0.1860, 0.6145)
O (0.3513, 0.8140, 0.6145)
O (0.3517, 0.3206, 0.1141)
O (0.3517, 0.6794, 0.1141)
O (0.3944, 0.0000, 0.1136)
O (0.4100, 0.5000, 0.6163)
O (0.5900, 0.5000, 0.3837)
O (0.6056, 0.0000, 0.8864)
O (0.6483, 0.3206, 0.8859)
O (0.6483, 0.6794, 0.8859)
O (0.6487, 0.1860, 0.3855)
O (0.6487, 0.8140, 0.3855)
O (0.8513, 0.3147, 0.6139)
O (0.8513, 0.6853, 0.6139)
O (0.8564, 0.1847, 0.1121)
O (0.8564, 0.8153, 0.1121)
O (0.9080, 0.5000, 0.1170)
O (0.9104, 0.0000, 0.6165)

The 10 most intense peaks (10° ≤ 2θ ≤ 80°), in order of rising 2θ:
two_theta, I_rel
18.50, 100
20.64, 29
21.52, 44
23.96, 31
27.86, 23
36.69, 24
43.98, 36
44.35, 71
63.74, 19
64.74, 17



Entry 5:
For LiMn3O4, DFT lattice parameters and positions (PBE+U) gives the computed powder XRD pattern in this record (copper Kα).

Atomic structure:
Unit cell a=3.1579 b=8.4797 c=6.3080 alpha=90.00 beta=92.73 gamma=90.00
Sites, in units of the cell vectors:
Li (0.0000, 0.0000, 0.0000)
Li (0.0000, 0.4993, 0.5000)
Mn (0.0000, 0.4986, 0.0000)
Mn (0.0000, 0.9991, 0.5000)
Mn (0.4937, 0.2467, 0.2540)
Mn (0.4947, 0.7523, 0.2543)
Mn (0.5053, 0.7523, 0.7457)
Mn (0.5063, 0.2467, 0.7460)
O (0.0000, 0.2580, 0.5000)
O (0.0000, 0.2636, 0.0000)
O (0.0000, 0.7330, 0.0000)
O (0.0000, 0.7407, 0.5000)
O (0.4460, 0.4962, 0.2298)
O (0.4897, 0.0022, 0.2490)
O (0.5103, 0.0022, 0.7510)
O (0.5540, 0.4962, 0.7702)

The 10 most intense peaks (10° ≤ 2θ ≤ 80°), in order of rising 2θ:
two_theta, I_rel
17.54, 77
20.95, 22
35.49, 100
39.45, 89
41.46, 75
42.65, 69
58.56, 46
59.49, 44
60.99, 40
75.10, 39